# 1
Computed X-ray powder pattern
Compound: Tb2Nd5Dy
Radiation: Cu Kα (weighted mean of Kα1 and Kα2)
Structure: a cell relaxed with PBE
Intensities are scaled so that the largest is 1000.

Most intense lines, 15° ≤ 2θ ≤ 90°, sorted by position:
d_spacing	Rel. int.
2.967	1000
2.569	507
1.817	363
1.549	432
1.483	124
1.285	58
1.179	176
1.149	164

Crystal structure
```
Tb2Nd5Dy
1.0
7.263 0.000 0.000
0.000 14.534 0.000
0.000 0.000 5.140
Tb Nd Dy
4 10 2
Cartesian
1.812 1.801 0.000
1.819 9.068 0.000
5.444 5.466 0.000
5.450 12.733 0.000
0.000 0.000 2.570
0.009 10.882 2.570
1.802 5.462 0.000
1.829 12.729 0.000
3.623 3.616 2.570
3.631 7.267 2.570
3.640 10.918 2.570
5.434 1.805 0.000
5.460 9.072 0.000
7.254 3.651 2.570
0.000 7.267 2.570
3.631 0.000 2.570
```

---

# 2
Computed X-ray powder pattern
Compound: Pr2Ho12Zr
Radiation: Cu Kα (weighted mean of Kα1 and Kα2)
Structure: a cell relaxed with PBE
Intensities are scaled so that the largest is 1000.

Most intense lines, 15° ≤ 2θ ≤ 90°, sorted by position:
d_spacing	Rel. int.
3.034	260
2.969	345
2.883	1000
2.809	806
2.688	728
2.670	392
2.399	621
1.747	202
1.483	232
1.465	229

Crystal structure
```
Pr2Ho12Zr
1.0
3.493 -5.618 0.000
3.493 5.618 0.000
0.000 0.000 24.483
Pr Ho Zr
4 24 2
Cartesian
3.493 2.809 5.823
3.493 2.809 18.798
3.493 -2.809 5.686
3.493 -2.809 18.661
3.493 5.616 10.515
3.493 -5.616 13.968
5.238 -2.809 9.384
1.749 2.809 15.099
1.815 2.809 2.095
3.493 5.486 22.962
1.747 0.000 4.273
1.747 0.000 7.483
1.747 0.000 17.000
1.747 0.000 20.210
3.493 0.132 22.962
5.171 2.809 2.095
1.749 -2.809 9.384
5.238 2.809 15.099
3.493 0.002 10.515
3.493 -0.002 13.968
1.815 -2.809 22.388
3.493 -0.132 1.521
5.240 0.000 4.273
5.240 0.000 7.483
5.240 0.000 17.000
5.240 0.000 20.210
3.493 -5.486 1.521
5.171 -2.809 22.388
3.493 2.809 12.243
3.493 -2.809 12.241
```

---

# 3
Computed X-ray powder pattern
Compound: MgZn5Ag5
Radiation: Cu Kα (weighted mean of Kα1 and Kα2)
Structure: a cell relaxed with PBE
Intensities are scaled so that the largest is 1000.

Most intense lines, 15° ≤ 2θ ≤ 90°, sorted by position:
d_spacing	Rel. int.
3.120	149
2.493	1000
2.434	868
2.354	166
2.155	295
2.055	366
2.032	275
1.742	153
1.416	301
1.217	178

Crystal structure
```
MgZn5Ag5
1.0
4.867 0.000 0.000
-2.434 4.215 0.000
0.000 0.000 9.277
Mg Zn Ag
1 5 5
Cartesian
0.000 0.000 0.000
-1.197 2.119 4.639
1.197 2.119 4.639
0.000 4.193 4.639
2.434 1.405 2.460
2.434 1.405 6.818
0.000 0.000 2.970
0.000 0.000 6.307
0.000 2.810 1.535
0.000 2.810 7.742
2.434 1.405 0.000
```

---

# 4
Computed X-ray powder pattern
Compound: K2BaHfSe4
Radiation: Cu Kα (weighted mean of Kα1 and Kα2)
Structure: a cell relaxed with PBE
Intensities are scaled so that the largest is 1000.

Most intense lines, 15° ≤ 2θ ≤ 90°, sorted by position:
d_spacing	Rel. int.
3.181	461
3.135	1000
2.464	215
2.456	128
2.347	178
2.233	608
2.106	176
1.889	136
1.788	153
1.756	180

Crystal structure
```
K2BaHfSe4
1.0
-4.211 4.694 6.363
4.211 -4.694 6.363
4.211 4.694 -6.363
K Ba Hf Se
4 2 2 8
Cartesian
0.000 0.000 0.000
-2.106 2.347 3.181
0.000 4.694 0.000
2.106 2.347 3.181
4.211 0.000 0.000
0.000 0.000 6.363
2.106 2.347 -3.181
2.106 -2.347 3.181
4.211 4.200 -3.195
4.211 -0.494 3.195
2.095 2.347 -0.505
2.116 -2.347 5.858
2.095 7.041 0.505
2.116 2.347 6.868
0.000 5.187 3.168
0.000 0.494 9.558
```

---

# 5
Computed X-ray powder pattern
Compound: Y2ZrCu6
Radiation: Cu Kα (weighted mean of Kα1 and Kα2)
Structure: a cell relaxed with PBE
Intensities are scaled so that the largest is 1000.

Most intense lines, 15° ≤ 2θ ≤ 90°, sorted by position:
d_spacing	Rel. int.
3.721	31
3.249	31
2.447	1000
2.148	691
1.792	31
1.625	92
1.614	264
1.296	244
1.291	238
1.240	104

Crystal structure
```
Y2ZrCu6
1.0
7.441 0.000 0.000
-3.721 6.444 0.000
0.000 0.000 3.250
Y Zr Cu
2 1 6
Cartesian
0.000 4.296 0.000
3.721 2.148 0.000
0.000 0.000 0.000
-1.226 2.123 1.625
-2.495 4.321 1.625
2.452 0.000 1.625
1.226 2.123 1.625
4.990 0.000 1.625
2.495 4.321 1.625
```

---

# 6
Computed X-ray powder pattern
Compound: Cr2Te6Pt
Radiation: Cu Kα (weighted mean of Kα1 and Kα2)
Structure: a cell relaxed with PBE
Intensities are scaled so that the largest is 1000.

Most intense lines, 15° ≤ 2θ ≤ 90°, sorted by position:
d_spacing	Rel. int.
4.196	86
2.956	1000
2.245	412
1.963	331
1.719	203
1.635	175
1.478	107
1.256	139
1.189	126
1.181	102

Crystal structure
```
Cr2Te6Pt
1.0
6.800 0.000 0.000
-3.400 5.889 0.000
0.000 0.000 5.979
Cr Te Pt
2 6 1
Cartesian
0.000 3.926 0.000
3.400 1.963 0.000
-1.140 1.975 1.487
-2.259 3.913 4.493
2.281 0.000 1.487
1.140 1.975 4.493
4.519 0.000 4.493
2.259 3.913 1.487
0.000 0.000 0.000
```